Structure and theoretical powder diffraction line list of Ac3ZnPd (a structure optimized by DFT (GGA-PBE); copper Kα).
Intensities are scaled so that the largest is 100.

Cell and atoms:
Cell lengths 10.031, 7.860, 9.025 Å; angles 90.00, 108.92, 90.00 degrees
Space group P2_1/c (No. 14)
Asymmetric unit:
Ac  0.067  0.003  0.213 (multiplicity 4)
Ac  0.311  0.162  0.614 (multiplicity 4)
Ac  0.347  0.679  0.493 (multiplicity 4)
Zn  0.063  0.651  0.037 (multiplicity 4)
Pd  0.409  0.030  0.330 (multiplicity 4)

Most intense lines, 2θ from 15° to 90°, in order of rising 2θ:
2θ/deg	I_rel	(hkl)
25.5	100	1 0 2
25.7	53	2 1 -2
27.9	55	1 1 2
28.2	63	3 0 0
29.1	45	3 1 -1
30.9	66	0 2 2
31.9	88	1 1 -3
33.4	64	2 2 1
36.2	57	1 3 -1
49.7	41	3 3 -3

Structure and theoretical powder diffraction line list of Ac2ZnPd5 (a structure optimized by DFT (GGA-PBE); copper Kα).
Intensities are scaled so that the largest is 100.

Cell and atoms:
Cell lengths 6.363, 6.363, 8.674 Å; angles 90.00, 90.00, 90.00 degrees
Space group I4mm (No. 107)
Asymmetric unit:
Ac  0.000  0.500  0.000 (multiplicity 4)
Zn  0.000  0.000  0.277 (multiplicity 2)
Pd  0.000  0.000  0.982 (multiplicity 2)
Pd  0.221  0.221  0.746 (multiplicity 8)

Most intense lines, 2θ from 15° to 90°, in order of rising 2θ:
2θ/deg	I_rel	(hkl)
19.7	15	1 1 0
28.6	38	1 1 2
35.0	100	2 0 2
40.1	44	2 2 0
41.6	21	0 0 4
50.0	13	3 1 2
58.0	13	4 0 0
59.2	26	2 2 4
69.5	21	4 2 2
71.7	13	2 0 6

Structure and theoretical powder diffraction line list of Ac3ZnPd3 (a structure optimized by DFT (GGA-PBE); copper Kα).
Intensities are scaled so that the largest is 100.

Cell and atoms:
Cell lengths 4.275, 4.384, 20.377 Å; angles 90.00, 90.00, 90.00 degrees
Space group Imm2 (No. 44)
Asymmetric unit:
Ac  0.000  0.000  0.000 (multiplicity 2)
Ac  0.000  0.000  0.363 (multiplicity 2)
Ac  0.000  0.500  0.172 (multiplicity 2)
Zn  0.000  0.500  0.743 (multiplicity 2)
Pd  0.000  0.000  0.524 (multiplicity 2)
Pd  0.000  0.000  0.822 (multiplicity 2)
Pd  0.000  0.500  0.617 (multiplicity 2)

Most intense lines, 2θ from 15° to 90°, in order of rising 2θ:
2θ/deg	I_rel	(hkl)
24.2	25	0 1 3
26.2	30	0 0 6
30.3	45	1 0 5
30.5	100	1 1 2
34.2	34	1 1 4
37.1	25	0 1 7
39.6	22	1 1 6
41.2	26	0 2 0
42.3	24	2 0 0
70.1	25	1 2 11

Structure and theoretical powder diffraction line list of AcZn6Pd6 (a structure optimized by DFT (GGA-PBE); copper Kα).
Intensities are scaled so that the largest is 100.

Cell and atoms:
Cell lengths 5.300, 8.941, 9.005 Å; angles 90.00, 90.00, 90.00 degrees
Space group Immm (No. 71)
Asymmetric unit:
Ac  0.000  0.000  0.000 (multiplicity 2)
Zn  0.000  0.259  0.500 (multiplicity 4)
Zn  0.250  0.250  0.250 (multiplicity 8)
Pd  0.000  0.000  0.345 (multiplicity 4)
Pd  0.000  0.345  0.000 (multiplicity 4)
Pd  0.000  0.500  0.298 (multiplicity 4)

Most intense lines, 2θ from 15° to 90°, in order of rising 2θ:
2θ/deg	I_rel	(hkl)
33.8	23	2 0 0
34.3	38	1 0 3
34.5	17	1 3 0
39.5	51	2 2 0
40.0	100	0 0 4
40.4	23	0 4 0
44.5	24	2 2 2
64.7	20	3 2 3
72.8	16	2 6 0
73.1	16	1 6 3

Structure and theoretical powder diffraction line list of Ac3Zn2Pd3 (a structure optimized by DFT (GGA-PBE); copper Kα).
Intensities are scaled so that the largest is 100.

Cell and atoms:
Cell lengths 4.353, 12.375, 15.005 Å; angles 90.00, 90.00, 90.00 degrees
Space group Cmcm (No. 63)
Asymmetric unit:
Ac  0.000  0.083  0.108 (multiplicity 8)
Ac  0.000  0.355  0.250 (multiplicity 4)
Zn  0.000  0.217  0.582 (multiplicity 8)
Pd  0.000  0.325  0.750 (multiplicity 4)
Pd  0.000  0.394  0.044 (multiplicity 8)

Most intense lines, 2θ from 15° to 90°, in order of rising 2θ:
2θ/deg	I_rel	(hkl)
22.4	21	1 1 1
28.9	25	0 4 0
30.4	74	1 3 1
32.3	100	1 1 4
33.2	26	0 2 5
34.9	64	1 3 3
35.9	28	0 0 6
38.5	24	1 3 4
41.5	42	2 0 0
68.5	21	1 7 6

Structure and theoretical powder diffraction line list of AcZn2Pd2 (a structure optimized by DFT (GGA-PBE); copper Kα).
Intensities are scaled so that the largest is 100.

Cell and atoms:
Cell lengths 5.979, 6.116, 11.418 Å; angles 90.00, 90.00, 90.00 degrees
Space group Fmmm (No. 69)
Asymmetric unit:
Ac  0.000  0.000  0.000 (multiplicity 4)
Zn  0.250  0.250  0.250 (multiplicity 8)
Pd  0.000  0.000  0.380 (multiplicity 8)

Most intense lines, 2θ from 15° to 90°, in order of rising 2θ:
2θ/deg	I_rel	(hkl)
29.2	20	0 2 0
29.9	19	2 0 0
31.5	100	1 1 3
33.2	48	0 2 2
33.8	45	2 0 2
42.3	58	2 2 0
45.0	45	1 1 5
53.2	23	1 3 3
54.1	22	3 1 3
81.0	17	2 2 8

Structure and theoretical powder diffraction line list of Ac2Zn7Pd (a structure optimized by DFT (GGA-PBE); copper Kα).
Intensities are scaled so that the largest is 100.

Cell and atoms:
Cell lengths 4.497, 4.497, 10.349 Å; angles 90.00, 90.00, 90.00 degrees
Space group P-4m2 (No. 115)
Asymmetric unit:
Ac  0.000  0.500  0.246 (multiplicity 2)
Zn  0.000  0.000  0.000 (multiplicity 1)
Zn  0.000  0.000  0.500 (multiplicity 1)
Zn  0.000  0.500  0.626 (multiplicity 2)
Zn  0.000  0.500  0.875 (multiplicity 2)
Zn  0.500  0.500  0.500 (multiplicity 1)
Pd  0.500  0.500  0.000 (multiplicity 1)

Most intense lines, 2θ from 15° to 90°, in order of rising 2θ:
2θ/deg	I_rel	(hkl)
21.5	27	1 0 1
28.1	21	1 1 0
32.7	71	1 0 3
33.1	100	1 1 2
40.1	55	2 0 0
48.4	25	1 0 5
52.7	37	2 1 3
58.0	19	2 2 0
64.6	21	2 1 5
68.4	24	3 1 2

Structure and theoretical powder diffraction line list of Ac4Zn2Pd5 (a structure optimized by DFT (GGA-PBE); copper Kα).
Intensities are scaled so that the largest is 100.

Cell and atoms:
Cell lengths 7.647, 4.201, 8.605 Å; angles 90.00, 91.18, 90.00 degrees
Space group P2/m (No. 10)
Asymmetric unit:
Ac  0.219  0.000  0.363 (multiplicity 2)
Ac  0.260  0.000  0.881 (multiplicity 2)
Zn  0.424  0.500  0.627 (multiplicity 2)
Pd  0.000  0.500  0.000 (multiplicity 1)
Pd  0.086  0.500  0.652 (multiplicity 2)
Pd  0.375  0.500  0.128 (multiplicity 2)

Most intense lines, 2θ from 15° to 90°, in order of rising 2θ:
2θ/deg	I_rel	(hkl)
23.3	20	2 0 0
23.9	21	1 0 2
31.6	87	2 1 0
31.8	100	1 1 -2
32.2	77	1 1 2
40.8	33	3 0 -2
41.6	20	3 0 2
42.0	24	0 0 4
43.1	35	0 2 0
60.8	21	3 2 -2

Structure and theoretical powder diffraction line list of Ac2Pm7 (a structure optimized by DFT (GGA-PBE); copper Kα).
Intensities are scaled so that the largest is 100.

Cell and atoms:
Cell lengths 6.4769, 6.4769, 9.0692 Å; angles 90.00, 90.00, 120.00 degrees
Space group P-31m (No. 162)
Asymmetric unit:
Ac  0.3333  0.6667  0.0000 (multiplicity 2)
Pm  0.0000  0.0000  0.0000 (multiplicity 1)
Pm  0.0000  0.3303  0.6613 (multiplicity 6)

Most intense lines, 2θ from 15° to 90°, in order of rising 2θ:
2θ/deg	I_rel	(hkl)
29.3	100	1 1 1
29.5	32	0 0 3
34.0	67	2 -1 2
48.7	24	3 0 0
49.0	24	1 1 4
57.8	15	4 -2 1
58.0	29	3 0 3
58.3	14	2 -1 5
60.7	13	2 2 2
78.9	12	4 1 1

Structure and theoretical powder diffraction line list of Ac2Pm5 (a structure optimized by DFT (GGA-PBE); copper Kα).
Intensities are scaled so that the largest is 100.

Cell and atoms:
Cell lengths 11.831, 5.284, 8.433 Å; angles 90.00, 98.19, 90.00 degrees
Space group C2/m (No. 12)
Asymmetric unit:
Ac  0.071  0.000  0.218 (multiplicity 4)
Pm  0.000  0.500  0.500 (multiplicity 2)
Pm  0.145  0.500  0.929 (multiplicity 4)
Pm  0.214  0.000  0.643 (multiplicity 4)

Most intense lines, 2θ from 15° to 90°, in order of rising 2θ:
2θ/deg	I_rel	(hkl)
29.2	100	1 1 2
33.6	17	2 0 -3
33.9	34	4 0 1
48.5	19	6 0 -2
48.7	12	4 2 1
57.3	8	1 1 -5
57.5	7	5 1 -4
57.6	7	5 1 3
57.8	22	1 3 2
81.3	7	2 4 -3

Structure and theoretical powder diffraction line list of Ac2Pm13 (a structure optimized by DFT (GGA-PBE); copper Kα).
Intensities are scaled so that the largest is 100.

Cell and atoms:
Cell lengths 9.4163, 9.4163, 25.4577 Å; angles 90.00, 90.00, 120.00 degrees
Space group R-3m (No. 166, hexagonal axes)
Asymmetric unit:
Ac  0.0000  0.0000  0.2453 (multiplicity 6)
Pm  0.0000  0.0000  0.0000 (multiplicity 3)
Pm  0.0824  0.5412  0.3021 (multiplicity 18)
Pm  0.0976  0.5488  0.5554 (multiplicity 18)

Most intense lines, 2θ from 15° to 90°, in order of rising 2θ:
2θ/deg	I_rel	(hkl)
22.1	25	0 2 1
26.0	25	0 2 4
29.2	30	2 1 1
30.1	60	0 1 8
32.3	100	2 1 4
33.0	26	0 2 7
34.0	35	1 2 5
34.7	45	0 3 3
54.9	28	3 0 12
57.1	29	2 3 8

Structure and theoretical powder diffraction line list of Ac7Pm3 (a structure optimized by DFT (GGA-PBE); copper Kα).
Intensities are scaled so that the largest is 100.

Cell and atoms:
Cell lengths 19.830, 5.534, 7.751 Å; angles 90.00, 101.83, 90.00 degrees
Space group C2/m (No. 12)
Asymmetric unit:
Ac  0.000  0.000  0.000 (multiplicity 2)
Ac  0.099  0.500  0.300 (multiplicity 4)
Ac  0.103  0.500  0.804 (multiplicity 4)
Ac  0.201  0.000  0.604 (multiplicity 4)
Pm  0.000  0.000  0.500 (multiplicity 2)
Pm  0.202  0.000  0.100 (multiplicity 4)

Most intense lines, 2θ from 15° to 90°, in order of rising 2θ:
2θ/deg	I_rel	(hkl)
28.1	100	5 1 0
32.4	17	0 2 0
32.5	17	6 0 -2
32.8	17	4 0 2
46.5	13	6 2 -2
46.8	19	4 2 2
55.1	16	5 3 0
55.3	16	7 1 -4
55.7	15	3 1 4
58.1	13	2 2 -4